Entry 1:
The following is a theoretical powder diffractogram of Nd3Y7Tm. It was derived from a GGA-PBE-relaxed structure, using copper Kα.
Peak positions follow from Bragg's law for the DFT cell and can differ from measured ones.

Structural model:
Lattice parameters (Å, degrees): 6.940 5.553 10.092 90.00 108.15 90.00
Element x y z (fractional)
Nd1 0.000 0.000 0.000
Nd2 0.278 0.500 0.493
Nd3 0.722 0.500 0.507
Y1 0.000 0.000 0.500
Y2 0.152 0.500 0.787
Y3 0.319 0.500 0.132
Y4 0.432 0.000 0.329
Y5 0.568 0.000 0.671
Y6 0.681 0.500 0.868
Y7 0.848 0.500 0.213
Tm1 0.500 0.000 0.000

Main lines, sorted by position (5° ≤ 2θ ≤ 70°):
hkl  2θ/deg  I_rel
0 0 2  18.49  35
1 1 2  30.79  13
2 0 1  31.31  18
2 1 0  31.53  82
2 1 -2  32.08  45
0 2 0  32.28  100
2 0 -3  32.37  18
0 0 4  37.47  13
2 2 -3  46.34  13
2 3 0  57.05  15

Entry 2:
The following is a theoretical powder diffractogram of La2Pr2Co3. It was derived from a GGA-PBE-relaxed structure, using copper Kα.
Peak positions follow from Bragg's law for the DFT cell and can differ from measured ones.

Structural model:
Lattice parameters (Å, degrees): 3.794 6.806 7.228 86.85 77.24 89.75
Element x y z (fractional)
La1 0.140 0.165 0.219
La2 0.860 0.835 0.781
Pr1 0.361 0.326 0.697
Pr2 0.639 0.674 0.303
Co1 0.246 0.594 0.014
Co2 0.500 0.000 0.500
Co3 0.754 0.406 0.986

Main lines, sorted by position (5° ≤ 2θ ≤ 70°):
hkl  2θ/deg  I_rel
0 0 2  25.31  40
1 -1 0  27.35  67
1 1 1  27.67  45
0 2 1  28.53  73
0 2 -1  29.83  72
1 1 -1  32.88  100
1 -1 2  34.20  81
-1 1 2  40.76  52
1 3 1  46.87  64
2 0 1  47.99  53